[1]
Starting from the GGA+U geometry in the Materials Project, the powder diffractogram of MgMo2O4 was computed for a wavelength of 1.5418 Å.
Intensities are scaled so that the largest is 100.

Structure:
a b c (Å): 6.2632 6.4293 15.2314
angles (deg): 89.30 88.71 61.20
Element x y z (fractional)
Mg 0.0000 0.0000 0.0000
Mg 0.0067 0.0055 0.3794
Mg 0.3258 0.8404 0.8398
Mg 0.6499 0.6757 0.6694
Mg 0.6768 0.1615 0.1707
Mg 0.9876 0.5058 0.5037
Mo 0.1720 0.1600 0.1684
Mo 0.1735 0.6609 0.1701
Mo 0.3208 0.3504 0.9525
Mo 0.3289 0.3351 0.7315
Mo 0.3326 0.3403 0.3430
Mo 0.4854 0.5107 0.5031
Mo 0.4897 0.0016 0.5068
Mo 0.6552 0.6867 0.2732
Mo 0.6766 0.6607 0.0807
Mo 0.8187 0.8398 0.8363
Mo 0.8217 0.3430 0.8400
Mo 0.9523 0.0266 0.6277
O 0.0001 0.0131 0.7602
O 0.0068 0.9878 0.2461
O 0.0408 0.4640 0.2515
O 0.1291 0.7124 0.9157
O 0.1496 0.1576 0.9138
O 0.1673 0.1857 0.4281
O 0.1735 0.6580 0.4278
O 0.3092 0.8442 0.0826
O 0.3166 0.3393 0.5775
O 0.3447 0.3324 0.0931
O 0.3524 0.8017 0.5841
O 0.4758 0.0520 0.2550
O 0.4992 0.4660 0.2474
O 0.5001 0.5225 0.7566
O 0.5010 0.9811 0.7509
O 0.6486 0.1891 0.4290
O 0.6499 0.6713 0.9069
O 0.6591 0.6755 0.4304
O 0.6997 0.1378 0.9199
O 0.7885 0.3761 0.5832
O 0.8176 0.8195 0.5834
O 0.8511 0.3028 0.0872
O 0.8508 0.8495 0.0900
O 0.9607 0.5226 0.7500

Principal peaks in the range 2θ = 15–90°, in order of rising 2θ:
2θ (°)	I_rel
28.8	40
32.3	30
32.8	33
33.1	45
33.2	37
33.4	100
34.0	44
58.6	28

[2]
Starting from the GGA+U geometry in the Materials Project, the powder diffractogram of MgMo2O4 was computed for a wavelength of 1.5418 Å.
Intensities are scaled so that the largest is 100.

Structure:
a b c (Å): 6.3994 6.3994 15.4659
angles (deg): 90.91 90.91 59.31
Element x y z (fractional)
Mg 0.0000 0.0000 0.0000
Mg 0.0000 0.0000 0.3705
Mg 0.0012 0.0012 0.6206
Mg 0.3363 0.3363 0.7039
Mg 0.6653 0.6653 0.0414
Mg 0.6660 0.6660 0.2853
Mo 0.0006 0.5009 0.4954
Mo 0.1619 0.1619 0.1617
Mo 0.1643 0.6663 0.1603
Mo 0.3321 0.3321 0.9517
Mo 0.3333 0.3333 0.3275
Mo 0.3366 0.8370 0.8301
Mo 0.5009 0.0006 0.4954
Mo 0.5008 0.5008 0.4955
Mo 0.6663 0.1643 0.1603
Mo 0.6691 0.6691 0.6629
Mo 0.8370 0.3366 0.8301
Mo 0.8370 0.8370 0.8307
O 0.0004 0.0004 0.7538
O 0.0182 0.4916 0.2418
O 0.1482 0.1482 0.9178
O 0.1695 0.6890 0.9074
O 0.1730 0.6489 0.4152
O 0.1768 0.1768 0.4132
O 0.3111 0.8380 0.0809
O 0.3226 0.3226 0.0870
O 0.3366 0.3366 0.5721
O 0.3536 0.8277 0.5768
O 0.4886 0.4886 0.2434
O 0.4916 0.0182 0.2418
O 0.5107 0.9849 0.7498
O 0.5133 0.5133 0.7479
O 0.6489 0.1730 0.4152
O 0.6649 0.6649 0.4191
O 0.6721 0.6721 0.9065
O 0.6890 0.1695 0.9074
O 0.8246 0.8246 0.5785
O 0.8277 0.3536 0.5768
O 0.8380 0.3111 0.0809
O 0.8435 0.8435 0.0771
O 0.9849 0.5107 0.7498
O 0.9988 0.9988 0.2380

Principal peaks in the range 2θ = 15–90°, in order of rising 2θ:
2θ (°)	I_rel
17.1	75
17.2	50
33.2	100
34.5	44
39.6	30
40.4	57
57.6	33
58.1	32

[3]
Starting from the GGA+U geometry in the Materials Project, the powder diffractogram of MgMo2O4 was computed for a wavelength of 1.5418 Å.
Intensities are scaled so that the largest is 100.

Structure:
a b c (Å): 6.3198 6.3198 6.3198
angles (deg): 60.81 60.81 60.81
Element x y z (fractional)
Mg 0.0000 0.0000 0.0000
Mg 0.3747 0.3747 0.3747
Mo 0.4933 0.9960 0.9960
Mo 0.6054 0.6054 0.6054
Mo 0.9960 0.4933 0.9960
Mo 0.9960 0.9960 0.4933
O 0.2174 0.7595 0.7595
O 0.2380 0.2380 0.7706
O 0.2380 0.7706 0.2380
O 0.2403 0.2403 0.2403
O 0.7583 0.7583 0.7583
O 0.7595 0.2174 0.7595
O 0.7595 0.7595 0.2174
O 0.7706 0.2380 0.2380

Principal peaks in the range 2θ = 15–90°, in order of rising 2θ:
2θ (°)	I_rel
17.3	62
28.2	43
32.9	100
33.0	57
33.3	41
40.1	47
57.6	43
58.4	38

[4]
Starting from the GGA+U geometry in the Materials Project, the powder diffractogram of MgMoO4 was computed for a wavelength of 1.5418 Å.
Intensities are scaled so that the largest is 100.

Structure:
a b c (Å): 7.0338 7.0338 7.1187
angles (deg): 102.22 102.22 84.28
Element x y z (fractional)
Mg 0.1796 0.8204 0.0000
Mg 0.2013 0.2013 0.3582
Mg 0.7987 0.7987 0.6418
Mg 0.8204 0.1796 0.0000
Mo 0.2510 0.7490 0.5000
Mo 0.2711 0.2711 0.9057
Mo 0.7289 0.7289 0.0943
Mo 0.7490 0.2510 0.5000
O 0.1104 0.8044 0.6953
O 0.1405 0.1405 0.0391
O 0.1956 0.8896 0.3047
O 0.2028 0.2028 0.6467
O 0.2115 0.5220 0.9722
O 0.2156 0.5023 0.3923
O 0.4780 0.7885 0.0278
O 0.4977 0.7844 0.6077
O 0.5023 0.2156 0.3923
O 0.5220 0.2115 0.9722
O 0.7844 0.4977 0.6077
O 0.7885 0.4780 0.0278
O 0.7972 0.7972 0.3533
O 0.8044 0.1104 0.6953
O 0.8595 0.8595 0.9609
O 0.8896 0.1956 0.3047

Principal peaks in the range 2θ = 15–90°, in order of rising 2θ:
2θ (°)	I_rel
18.8	23
22.9	47
24.9	23
26.0	100
26.1	24
26.8	25
27.9	16
33.2	19